Diffraction record for Li2EuIn. The powder diffraction line list is computed, not measured: it uses a DFT-relaxed cell (GGA-PBE, the Materials Project) and Cu Kα (weighted mean of Kα1 and Kα2).
Peak positions follow from Bragg's law for the DFT cell and can differ from measured ones.

Largest 10 diffraction maxima, most intense first, 15° ≤ 2θ ≤ 90°:
| 2theta | intensity |
| --- | --- |
| 24.9 | 100.0 |
| 35.5 | 93.6 |
| 57.6 | 38.8 |
| 63.7 | 33.3 |
| 43.8 | 29.5 |
| 80.5 | 18.6 |
| 51.0 | 16.3 |
| 85.8 | 14.8 |
| 75.0 | 10.3 |
| 21.5 | 3.3 |

Crystal structure
```
4
Lattice="0.000 3.580 3.580 3.580 0.000 3.580 3.580 3.580 0.000" Properties=species:S:1:pos:R:3 pbc="T T T"
Li 1.790 1.790 1.790
Li 5.371 5.371 5.371
Eu 0.000 0.000 0.000
In 3.580 3.580 3.580
```

***

Diffraction record for EuMnIn. The powder diffraction line list is computed, not measured: it uses a DFT-relaxed cell (GGA-PBE, the Materials Project) and Cu Kα (weighted mean of Kα1 and Kα2).
Peak positions follow from Bragg's law for the DFT cell and can differ from measured ones.

Largest 10 diffraction maxima, most intense first, 15° ≤ 2θ ≤ 90°:
| 2theta | intensity |
| --- | --- |
| 31.9 | 100.0 |
| 36.2 | 62.9 |
| 49.0 | 29.6 |
| 62.4 | 28.3 |
| 62.6 | 24.4 |
| 20.6 | 16.5 |
| 85.5 | 11.9 |
| 65.0 | 10.8 |
| 85.7 | 10.2 |
| 49.2 | 8.5 |

Crystal structure
```
3
Lattice="4.967 0.000 0.000 -2.484 4.302 0.000 0.000 0.000 3.704" Properties=species:S:1:pos:R:3 pbc="T T T"
Eu 0.000 0.000 0.000
Mn 2.484 1.434 1.852
In 0.000 2.868 1.852
```